This entry pairs a crystal structure of Cu7Ag2 with its calculated PXRD pattern. Radiation: Cu Ka. Structure: a crystal structure in OQMD, relaxed with PBE.
Peak positions follow from Bragg's law for the DFT cell and can differ from measured ones.

Peak list (10 most intense, 10° ≤ 2θ ≤ 90°, low angle first)
(hkl), 2θ/deg, intensity
4 0 -3, 41.5, 50
2 0 3, 41.6, 48
3 1 0, 41.8, 100
1 1 -3, 47.9, 65
6 0 0, 49.9, 28
7 1 -3, 71.6, 17
5 1 3, 71.7, 16
4 2 -3, 85.2, 11
2 2 3, 85.2, 11
9 1 0, 88.1, 14

Structural model:
Cell lengths 11.2993, 2.6754, 8.1013 Å; angles 90.00, 103.97, 90.00 degrees
Space group C2/m (No. 12)
Asymmetric unit:
Cu 0.0000 0.0000 0.0000 [2 per cell]
Cu 0.0075 0.0000 0.3495 [4 per cell]
Cu 0.1576 0.5000 0.2295 [4 per cell]
Cu 0.1707 0.5000 0.5531 [4 per cell]
Ag 0.1619 0.5000 0.8757 [4 per cell]